For Nd2NiO4, a DFT-relaxed cell (PBE+U, Alexandria) gives the calculated X-ray powder pattern in this record (Cu Kα (weighted mean of Kα1 and Kα2)).
Intensities are scaled so that the largest is 100.

The 6 most intense peaks (2θ from 15° to 90°), in order of falling intensity:
d_spacing	2θ (°)	I (rel.)	(hkl)
2.823	31.69	100	1 1 3
2.790	32.09	72	2 0 0
1.617	56.95	39	3 1 3
1.973	46.01	35	2 2 0
3.752	23.72	31	1 1 1
2.053	44.11	29	2 0 4

Structural model:
Unit cell a=5.579 b=5.579 c=12.128 alpha=90.00 beta=90.00 gamma=90.00
Space group P4_2/ncm (No. 138, origin choice 2)
Unique sites:
Nd: 0.017 0.017 0.137
Ni: 0.000 0.000 0.500
O: 0.055 0.055 0.680
O: 0.250 0.250 0.469
O: 0.250 0.750 0.000